This entry pairs a crystal structure of Cs2Tm2USe6 with its theoretical X-ray diffraction stick pattern. Radiation: Cu Kα, 1.54184 Å. Structure: a DFT-relaxed cell (PBE, Alexandria).
Intensities are scaled so that the largest is 100.

Principal peaks in the range 10 to 80 degrees two-theta, most intense first:
2θ/deg, I_rel
28.41, 100.0
10.30, 56.9
43.55, 35.3
37.43, 21.8
34.90, 13.0
20.69, 12.4

Structure:
```
Cs2Tm2USe6
1.0
3.5984 -6.2368 0.0000
3.5984 6.2368 0.0000
-2.4352 0.0000 8.5858
Cs Tm U Se
2 2 1 6
direct
0.1675 0.8325 0.0000
0.8325 0.1675 0.0000
0.3332 0.6668 0.5000
0.6668 0.3332 0.5000
0.0000 0.0000 0.5000
0.0613 0.3940 0.6808
0.2723 0.2723 0.3195
0.3940 0.0613 0.6808
0.6060 0.9387 0.3192
0.7277 0.7277 0.6805
0.9387 0.6060 0.3192
```